# Na5H12Rh2
Computed X-ray diffraction stick pattern, Cu Kα (weighted mean of Kα1 and Kα2). Input: DFT lattice parameters and positions (GGA-PBE).

The 10 most intense peaks (2θ = 15–90°), in order of rising 2θ:
2θ/deg  I (rel.)  hkl
15.8  100  0 1 0
16.0  37  1 0 0
17.3  69  0 1 -1
19.0  88  1 0 -1
20.5  55  1 0 1
22.3  54  1 -1 1
23.3  51  0 0 2
31.2  51  0 2 -1
33.5  66  2 0 -1
36.6  37  0 2 1

```
data_Na5H12Rh2
_chemical_formula_sum 'Na5 H12 Rh2'
_cell_length_a 5.632
_cell_length_b 5.861
_cell_length_c 7.870
_cell_angle_alpha 102.99
_cell_angle_beta 92.19
_cell_angle_gamma 99.36
_space_group_name_H-M_alt 'P 1'
_space_group_IT_number 1
loop_
_space_group_symop_operation_xyz
'x,y,z'
loop_
_atom_site_label
_atom_site_type_symbol
_atom_site_fract_x
_atom_site_fract_y
_atom_site_fract_z
Na1 Na 0.000 0.000 0.000
Na2 Na 0.177 0.832 0.397
Na3 Na 0.421 0.651 0.844
Na4 Na 0.579 0.349 0.156
Na5 Na 0.823 0.168 0.603
H1 H 0.083 0.921 0.697
H2 H 0.180 0.306 0.884
H3 H 0.252 0.286 0.613
H4 H 0.383 0.041 0.931
H5 H 0.408 0.678 0.186
H6 H 0.488 0.916 0.668
H7 H 0.512 0.084 0.332
H8 H 0.592 0.322 0.814
H9 H 0.617 0.959 0.069
H10 H 0.748 0.714 0.387
H11 H 0.820 0.694 0.116
H12 H 0.917 0.079 0.303
Rh1 Rh 0.333 0.129 0.752
Rh2 Rh 0.667 0.871 0.248
```